K4TbTc3O12: computed powder diffraction line list (Cu Kα, 1.54184 Å), based on a structure optimized by DFT (GGA-PBE).

The 8 most intense peaks (15° ≤ 2θ ≤ 90°), in order of falling intensity:
| 2θ/deg | I_rel | (hkl) |
| --- | --- | --- |
| 31.18 | 100 | 2 2 0 |
| 21.91 | 52 | 2 0 0 |
| 55.48 | 38 | 4 2 2 |
| 44.67 | 37 | 4 0 0 |
| 50.29 | 22 | 4 2 0 |
| 65.02 | 21 | 4 4 0 |
| 73.87 | 16 | 6 2 0 |
| 69.51 | 10 | 6 0 0 |

Atomic structure:
```
data_K4TbTc3O12
_symmetry_space_group_name_H-M 'I m -3 m'
_symmetry_Int_Tables_number 229
_symmetry_space_group_name_Hall '-I 4 2 3'
_cell_length_a 8.114
_cell_length_b 8.114
_cell_length_c 8.114
_cell_angle_alpha 90.00
_cell_angle_beta 90.00
_cell_angle_gamma 90.00
loop_
_atom_site_label
_atom_site_type_symbol
_atom_site_fract_x
_atom_site_fract_y
_atom_site_fract_z
_atom_site_occupancy
K1 K 0.250 0.250 0.250 1
Tb1 Tb 0.000 0.000 0.000 1
Tc1 Tc 0.000 0.000 0.500 1
O1 O 0.000 0.000 0.271 1
O2 O 0.000 0.250 0.500 1
```

KTbTi4O12: computed powder diffraction line list (Cu Kα, 1.54184 Å), based on a structure optimized by DFT (GGA-PBE).

The 8 most intense peaks (15° ≤ 2θ ≤ 90°), in order of falling intensity:
| 2θ/deg | I_rel | (hkl) |
| --- | --- | --- |
| 32.65 | 100 | 2 2 0 |
| 19.82 | 92 | 1 1 1 |
| 38.49 | 48 | 3 1 1 |
| 58.27 | 40 | 4 2 2 |
| 46.81 | 34 | 0 0 4 |
| 16.17 | 28 | 0 1 1 |
| 68.41 | 27 | 0 4 4 |
| 51.34 | 21 | 1 3 3 |

Atomic structure:
```
data_KTbTi4O12
_symmetry_space_group_name_H-M 'A m m 2'
_symmetry_Int_Tables_number 38
_cell_length_a 7.767
_cell_length_b 7.748
_cell_length_c 7.758
_cell_angle_alpha 90.00
_cell_angle_beta 90.00
_cell_angle_gamma 90.00
loop_
_symmetry_equiv_pos_as_xyz
'x,y,z'
'-x,-y,z'
'-x,y,z'
'x,-y,z'
'x,y+1/2,z+1/2'
'-x,-y+1/2,z+1/2'
'-x,y+1/2,z+1/2'
'x,-y+1/2,z+1/2'
loop_
_atom_site_label
_atom_site_type_symbol
_atom_site_fract_x
_atom_site_fract_y
_atom_site_fract_z
_atom_site_occupancy
K1 K 0.000 0.000 0.000 1
Tb1 Tb 0.500 0.000 0.477 1
Ti1 Ti 0.244 0.245 0.742 1
O1 O 0.000 0.237 0.744 1
O2 O 0.249 0.000 0.254 1
O3 O 0.273 0.243 0.495 1
O4 O 0.293 0.000 0.730 1
O5 O 0.500 0.214 0.259 1
```